For Ba5SiCl6O4, DFT lattice parameters and positions (PBE) gives the calculated powder diffractogram in this record (λ = 1.5418 Å (Cu Kα)).
Intensities are scaled so that the largest is 100.

Main lines, in order of rising 2θ (5 to 70 degrees two-theta):
2θ 20.92, I 74, hkl 1 1 2
2θ 22.07, I 87, hkl 2 2 -1
2θ 23.61, I 54, hkl 1 1 -3
2θ 29.12, I 100, hkl 1 3 -3
2θ 32.08, I 84, hkl 2 4 -2
2θ 32.74, I 52, hkl 3 1 -3

Structural model:
Unit cell a=9.684 b=14.987 c=11.835 alpha=90.00 beta=104.35 gamma=90.00
Space group C2/c (No. 15)
One atom of each set of equivalent atoms:
Ba 0.000 0.201 0.250 x4
Ba 0.060 0.372 0.980 x8
Ba 0.156 0.079 0.634 x8
Si 0.000 0.422 0.250 x4
Cl 0.000 0.243 0.750 x4
Cl 0.129 0.150 0.048 x8
Cl 0.170 0.028 0.366 x8
Cl 0.250 0.250 0.500 x4
O 0.078 0.480 0.368 x8
O 0.120 0.356 0.214 x8

For BaSmClO2, DFT lattice parameters and positions (PBE) gives the calculated powder diffractogram in this record (λ = 1.5418 Å (Cu Kα)).
Intensities are scaled so that the largest is 100.

Main lines, in order of rising 2θ (5 to 70 degrees two-theta):
2θ 13.17, I 43, hkl 0 0 1
2θ 24.51, I 100, hkl 1 0 1
2θ 29.27, I 50, hkl 1 1 0
2θ 33.80, I 66, hkl 1 0 2
2θ 49.12, I 31, hkl 2 1 1
2θ 54.85, I 32, hkl 2 1 2

Structural model:
Unit cell a=4.315 b=4.315 c=6.725 alpha=90.00 beta=90.00 gamma=90.00
Space group P4mm (No. 99)
One atom of each set of equivalent atoms:
Ba 0.000 0.000 0.000 x1
Sm 0.500 0.500 0.332 x1
Cl 0.500 0.500 0.749 x1
O 0.000 0.500 0.219 x2

For Ba2SmCl2O2, DFT lattice parameters and positions (PBE) gives the calculated powder diffractogram in this record (λ = 1.5418 Å (Cu Kα)).
Intensities are scaled so that the largest is 100.

Main lines, in order of rising 2θ (5 to 70 degrees two-theta):
2θ 11.04, I 51, hkl 0 0 2
2θ 25.45, I 55, hkl 1 0 3
2θ 27.24, I 92, hkl 1 1 0
2θ 34.01, I 100, hkl 1 0 5
2θ 38.90, I 46, hkl 2 0 0
2θ 52.62, I 56, hkl 2 1 5

Structural model:
Unit cell a=4.630 b=4.630 c=16.032 alpha=90.00 beta=90.00 gamma=90.00
Space group I4/mmm (No. 139)
One atom of each set of equivalent atoms:
Ba 0.000 0.000 0.115 x4
Sm 0.000 0.000 0.500 x2
Cl 0.000 0.000 0.318 x4
O 0.000 0.500 0.000 x4

For Ba2TcClO4, DFT lattice parameters and positions (PBE) gives the calculated powder diffractogram in this record (λ = 1.5418 Å (Cu Kα)).
Intensities are scaled so that the largest is 100.

Main lines, in order of rising 2θ (5 to 70 degrees two-theta):
2θ 9.83, I 100, hkl 0 0 1
2θ 24.34, I 31, hkl 2 0 1
2θ 28.38, I 30, hkl 2 0 -3
2θ 29.94, I 69, hkl 1 1 1
2θ 35.21, I 30, hkl 4 0 -2
2θ 37.58, I 62, hkl 3 1 -2

Structural model:
Unit cell a=10.303 b=3.541 c=9.762 alpha=90.00 beta=112.78 gamma=90.00
Space group C2/m (No. 12)
One atom of each set of equivalent atoms:
Ba 0.169 0.000 0.278 x4
Tc 0.000 0.000 0.500 x2
Cl 0.000 0.500 0.000 x2
O 0.100 0.500 0.455 x4
O 0.127 0.000 0.691 x4

For BaTmClO2, DFT lattice parameters and positions (PBE) gives the calculated powder diffractogram in this record (λ = 1.5418 Å (Cu Kα)).
Intensities are scaled so that the largest is 100.

Main lines, in order of rising 2θ (5 to 70 degrees two-theta):
2θ 13.53, I 42, hkl 0 0 1
2θ 25.16, I 100, hkl 1 0 1
2θ 30.02, I 49, hkl 1 1 0
2θ 34.73, I 62, hkl 1 0 2
2θ 50.45, I 31, hkl 2 1 1
2θ 56.40, I 30, hkl 2 1 2

Structural model:
Unit cell a=4.209 b=4.209 c=6.542 alpha=90.00 beta=90.00 gamma=90.00
Space group P4mm (No. 99)
One atom of each set of equivalent atoms:
Ba 0.000 0.000 0.000 x1
Tm 0.500 0.500 0.332 x1
Cl 0.500 0.500 0.741 x1
O 0.000 0.500 0.232 x2

For BaOs4Cl, DFT lattice parameters and positions (PBE) gives the calculated powder diffractogram in this record (λ = 1.5418 Å (Cu Kα)).
Intensities are scaled so that the largest is 100.

Main lines, in order of rising 2θ (5 to 70 degrees two-theta):
2θ 19.82, I 48, hkl 1 1 1
2θ 38.49, I 100, hkl 3 1 1
2θ 40.27, I 68, hkl 2 2 2
2θ 46.84, I 20, hkl 4 0 0
2θ 62.17, I 33, hkl 5 1 1
2θ 68.41, I 32, hkl 4 4 0

Structural model:
Unit cell a=7.758 b=7.758 c=7.758 alpha=90.00 beta=90.00 gamma=90.00
Space group F-43m (No. 216)
One atom of each set of equivalent atoms:
Ba 0.000 0.000 0.000 x4
Os 0.124 0.124 0.376 x16
Cl 0.250 0.250 0.750 x4

For BaOsCl4, DFT lattice parameters and positions (PBE) gives the calculated powder diffractogram in this record (λ = 1.5418 Å (Cu Kα)).
Intensities are scaled so that the largest is 100.

Main lines, in order of rising 2θ (5 to 70 degrees two-theta):
2θ 17.79, I 43, hkl 1 1 1
2θ 29.25, I 87, hkl 2 2 0
2θ 34.45, I 100, hkl 3 1 1
2θ 51.87, I 35, hkl 4 2 2
2θ 55.28, I 33, hkl 3 3 3
2θ 60.67, I 22, hkl 4 4 0

Structural model:
Unit cell a=8.635 b=8.635 c=8.635 alpha=90.00 beta=90.00 gamma=90.00
Space group F-43m (No. 216)
One atom of each set of equivalent atoms:
Ba 0.000 0.000 0.000 x4
Os 0.250 0.250 0.250 x4
Cl 0.125 0.125 0.625 x16